Starting from the GGA-PBE geometry in Alexandria, the powder X-ray diffraction pattern of HfTiW was computed for Cu Kα, 1.54184 Å.
Kinematic intensities with the Lorentz-polarization factor, no thermal factor.

Crystal structure
```
data_HfTiW
_chemical_formula_sum 'Hf4 Ti4 W4'
_cell_length_a 5.258
_cell_length_b 5.560
_cell_length_c 7.539
_cell_angle_alpha 90.00
_cell_angle_beta 90.00
_cell_angle_gamma 90.00
_symmetry_space_group_name_H-M 'I m m a'
_symmetry_Int_Tables_number 74
_symmetry_space_group_name_Hall '-I 2b 2'
loop_
_atom_site_label
_atom_site_type_symbol
_atom_site_fract_x
_atom_site_fract_y
_atom_site_fract_z
Hf1 Hf 0.000 0.250 0.124
Ti1 Ti 0.000 0.000 0.500
W1 W 0.250 0.250 0.750
```

Principal peaks in the range 2θ from 10° to 80°, in order of rising 2θ:
d [Å]	intensity
2.780	39
2.683	46
2.337	30
2.290	45
2.267	100
2.238	23
2.156	21
1.485	23
1.455	17
1.342	28


Starting from the GGA-PBE geometry in Alexandria, the powder X-ray diffraction pattern of SmGdAgPb was computed for Cu Kα, 1.54184 Å.
Kinematic intensities with the Lorentz-polarization factor, no thermal factor.

Crystal structure
```
data_SmGdAgPb
_chemical_formula_sum 'Sm4 Gd4 Ag4 Pb4'
_cell_length_a 7.580
_cell_length_b 7.580
_cell_length_c 7.580
_cell_angle_alpha 90.00
_cell_angle_beta 90.00
_cell_angle_gamma 90.00
_symmetry_space_group_name_H-M 'F -4 3 m'
_symmetry_Int_Tables_number 216
_symmetry_space_group_name_Hall 'F -4 2 3'
loop_
_atom_site_label
_atom_site_type_symbol
_atom_site_fract_x
_atom_site_fract_y
_atom_site_fract_z
Sm1 Sm 0.000 0.000 0.000
Gd1 Gd 0.000 0.000 0.500
Ag1 Ag 0.250 0.250 0.750
Pb1 Pb 0.250 0.250 0.250
```

Principal peaks in the range 2θ from 10° to 80°, in order of rising 2θ:
d [Å]	intensity
4.377	5
2.680	100
2.286	3
1.895	18
1.739	1
1.547	38
1.459	1
1.340	12
1.281	1


Starting from the GGA-PBE geometry in Alexandria, the powder X-ray diffraction pattern of Sr3Bi2 was computed for Cu Kα, 1.54184 Å.
Kinematic intensities with the Lorentz-polarization factor, no thermal factor.

Crystal structure
```
data_Sr3Bi2
_chemical_formula_sum 'Sr18 Bi12'
_cell_length_a 17.761
_cell_length_b 5.686
_cell_length_c 12.313
_cell_angle_alpha 90.00
_cell_angle_beta 93.21
_cell_angle_gamma 90.00
_symmetry_space_group_name_H-M 'C 1 2/m 1'
_symmetry_Int_Tables_number 12
loop_
_symmetry_equiv_pos_as_xyz
'x,y,z'
'-x,-y,-z'
'-x,y,-z'
'x,-y,z'
'x+1/2,y+1/2,z'
'-x+1/2,-y+1/2,-z'
'-x+1/2,y+1/2,-z'
'x+1/2,-y+1/2,z'
loop_
_atom_site_label
_atom_site_type_symbol
_atom_site_fract_x
_atom_site_fract_y
_atom_site_fract_z
Sr1 Sr 0.000 0.000 0.000
Sr2 Sr 0.004 0.000 0.329
Sr3 Sr 0.162 0.500 0.005
Sr4 Sr 0.166 0.500 0.333
Sr5 Sr 0.172 0.500 0.661
Bi1 Bi 0.015 0.500 0.818
Bi2 Bi 0.152 0.000 0.514
Bi3 Bi 0.181 0.000 0.152
```

Principal peaks in the range 2θ from 10° to 80°, in order of rising 2θ:
d [Å]	intensity
4.924	35
4.098	52
3.695	21
2.956	91
2.843	100
2.253	35
2.049	32
1.730	21
1.662	34
1.311	22


Starting from the GGA-PBE geometry in Alexandria, the powder X-ray diffraction pattern of NaSb was computed for Cu Kα, 1.54184 Å.
Kinematic intensities with the Lorentz-polarization factor, no thermal factor.

Crystal structure
```
data_NaSb
_chemical_formula_sum 'Na8 Sb8'
_cell_length_a 6.473
_cell_length_b 6.867
_cell_length_c 11.346
_cell_angle_alpha 90.00
_cell_angle_beta 90.00
_cell_angle_gamma 90.00
_symmetry_space_group_name_H-M 'P 21 21 21'
_symmetry_Int_Tables_number 19
loop_
_symmetry_equiv_pos_as_xyz
'x,y,z'
'-x+1/2,-y,z+1/2'
'x+1/2,-y+1/2,-z'
'-x,y+1/2,-z+1/2'
loop_
_atom_site_label
_atom_site_type_symbol
_atom_site_fract_x
_atom_site_fract_y
_atom_site_fract_z
Na1 Na 0.118 0.088 0.068
Na2 Na 0.148 0.320 0.703
Sb1 Sb 0.127 0.518 0.956
Sb2 Sb 0.145 0.159 0.359
```

Principal peaks in the range 2θ from 10° to 80°, in order of rising 2θ:
d [Å]	intensity
5.875	49
4.350	100
4.266	59
3.624	37
2.936	34
2.835	35
2.622	34
2.459	46
2.315	32
2.306	45